Theoretical XRD peak list of MgMo2Pb4O10 for copper Kα, from a cell relaxed with GGA+U.
Neutral-atom scattering factors, no anomalous dispersion.

Structure:
Lattice parameters (Å, degrees): 8.171 8.171 7.355 109.69 109.69 44.34
Fractional coordinates of all 17 atoms:
Mg  0.000  0.000  0.000
Mo  0.020  0.360  0.178
Mo  0.640  0.980  0.822
Pb  0.081  0.169  0.580
Pb  0.436  0.514  0.243
Pb  0.486  0.564  0.757
Pb  0.831  0.919  0.420
O  0.160  0.066  0.245
O  0.199  0.801  0.500
O  0.208  0.413  0.194
O  0.421  0.232  0.696
O  0.587  0.792  0.806
O  0.686  0.314  0.500
O  0.744  0.070  0.084
O  0.768  0.579  0.304
O  0.930  0.256  0.916
O  0.934  0.840  0.755

Most intense lines, 2θ from 10° to 90°, most intense first:
| Position (°2θ) | I_rel |
| --- | --- |
| 28.43 | 100 |
| 23.81 | 97 |
| 28.97 | 61 |
| 32.99 | 50 |
| 32.51 | 34 |
| 12.56 | 29 |

=====

Theoretical XRD peak list of Li4MnW3O12 for copper Kα, from a cell relaxed with GGA+U.
Neutral-atom scattering factors, no anomalous dispersion.

Structure:
Lattice parameters (Å, degrees): 5.210 5.541 7.658 94.52 90.28 90.12
Fractional coordinates of all 20 atoms:
Li  0.000  0.000  0.000
Li  0.008  0.080  0.411
Li  0.493  0.469  0.999
Li  0.508  0.468  0.447
Mn  0.503  0.052  0.180
W  0.003  0.549  0.695
W  0.012  0.568  0.197
W  0.500  0.039  0.681
O  0.126  0.566  0.441
O  0.182  0.276  0.116
O  0.197  0.866  0.740
O  0.292  0.743  0.107
O  0.300  0.373  0.742
O  0.385  0.095  0.454
O  0.633  0.092  0.905
O  0.696  0.757  0.616
O  0.701  0.400  0.233
O  0.806  0.271  0.612
O  0.842  0.874  0.231
O  0.875  0.576  0.920

Most intense lines, 2θ from 10° to 90°, most intense first:
| Position (°2θ) | I_rel |
| --- | --- |
| 23.47 | 100 |
| 32.39 | 60 |
| 23.30 | 51 |
| 52.73 | 20 |
| 41.87 | 15 |
| 34.15 | 14 |

=====

What is the formula in the second record?
Li4MnW3O12

=====

Which formula does entry 1 have?
MgMo2Pb4O10